Structure and computed X-ray powder pattern of BPb (the GGA-PBE geometry in Alexandria; CuKα).
Kinematic intensities with the Lorentz-polarization factor, no thermal factor.

Peak list (12 most intense, 5 to 70 degrees two-theta, most intense first)
2θ = 30.55°, intensity 100
2θ = 30.88°, intensity 49
2θ = 28.68°, intensity 39
2θ = 33.78°, intensity 32
2θ = 23.28°, intensity 32
2θ = 36.88°, intensity 27
2θ = 25.40°, intensity 25
2θ = 50.87°, intensity 19
2θ = 51.92°, intensity 18
2θ = 61.93°, intensity 14
2θ = 42.73°, intensity 13
2θ = 38.22°, intensity 13

Crystal structure
a = 5.307 Å, b = 7.687 Å, c = 7.882 Å
α = 90.00°, β = 90.00°, γ = 90.00°
Fractional coordinates of all 16 atoms:
B  0.075  0.072  0.399
B  0.166  0.456  0.053
B  0.334  0.544  0.553
B  0.425  0.928  0.899
B  0.575  0.428  0.601
B  0.666  0.044  0.947
B  0.834  0.956  0.447
B  0.925  0.572  0.101
Pb  0.030  0.898  0.096
Pb  0.043  0.769  0.664
Pb  0.457  0.231  0.164
Pb  0.470  0.102  0.596
Pb  0.530  0.602  0.904
Pb  0.543  0.731  0.336
Pb  0.957  0.269  0.836
Pb  0.970  0.398  0.404


Structure and computed X-ray powder pattern of TeSeBr2 (the GGA-PBE geometry in Alexandria; CuKα).
Kinematic intensities with the Lorentz-polarization factor, no thermal factor.

Peak list (12 most intense, 5 to 70 degrees two-theta, most intense first)
2θ = 29.07°, intensity 100
2θ = 15.78°, intensity 52
2θ = 23.76°, intensity 47
2θ = 37.57°, intensity 45
2θ = 38.22°, intensity 35
2θ = 43.58°, intensity 34
2θ = 14.21°, intensity 33
2θ = 28.24°, intensity 33
2θ = 50.36°, intensity 27
2θ = 42.60°, intensity 14
2θ = 29.74°, intensity 14
2θ = 29.22°, intensity 13

Crystal structure
a = 7.287 Å, b = 6.350 Å, c = 12.017 Å
α = 90.00°, β = 90.00°, γ = 90.00°
Fractional coordinates of all 16 atoms:
Te  0.250  0.000  0.117
Te  0.250  0.500  0.383
Te  0.750  0.000  0.883
Te  0.750  0.500  0.617
Se  0.061  0.250  0.250
Se  0.439  0.750  0.250
Se  0.561  0.250  0.750
Se  0.939  0.750  0.750
Br  0.062  0.232  0.902
Br  0.062  0.268  0.598
Br  0.438  0.732  0.598
Br  0.438  0.768  0.902
Br  0.562  0.232  0.098
Br  0.562  0.268  0.402
Br  0.938  0.732  0.402
Br  0.938  0.768  0.098


Structure and computed X-ray powder pattern of Np2Ge6Pt21 (the GGA-PBE geometry in Alexandria; CuKα).
Kinematic intensities with the Lorentz-polarization factor, no thermal factor.

Peak list (12 most intense, 5 to 70 degrees two-theta, most intense first)
2θ = 41.00°, intensity 100
2θ = 34.31°, intensity 82
2θ = 34.82°, intensity 69
2θ = 39.58°, intensity 62
2θ = 41.65°, intensity 60
2θ = 42.69°, intensity 52
2θ = 43.74°, intensity 49
2θ = 37.03°, intensity 48
2θ = 39.98°, intensity 31
2θ = 31.90°, intensity 25
2θ = 47.23°, intensity 25
2θ = 52.79°, intensity 23

Crystal structure
a = 8.852 Å, b = 8.852 Å, c = 8.852 Å
α = 122.82°, β = 108.01°, γ = 98.56°
Fractional coordinates of all 29 atoms:
Np  0.230  0.230  0.000
Np  0.770  0.770  0.000
Ge  0.227  0.727  0.500
Ge  0.286  0.227  0.513
Ge  0.286  0.773  0.059
Ge  0.714  0.227  0.941
Ge  0.714  0.773  0.487
Ge  0.773  0.273  0.500
Pt  0.000  0.164  0.164
Pt  0.000  0.500  0.500
Pt  0.000  0.836  0.836
Pt  0.019  0.455  0.129
Pt  0.019  0.890  0.564
Pt  0.151  0.858  0.293
Pt  0.326  0.455  0.436
Pt  0.326  0.890  0.871
Pt  0.370  0.500  0.870
Pt  0.381  0.109  0.729
Pt  0.381  0.652  0.271
Pt  0.436  0.142  0.293
Pt  0.564  0.858  0.707
Pt  0.619  0.348  0.729
Pt  0.619  0.891  0.271
Pt  0.630  0.500  0.130
Pt  0.674  0.110  0.129
Pt  0.674  0.545  0.564
Pt  0.849  0.142  0.707
Pt  0.981  0.110  0.436
Pt  0.981  0.545  0.871